Calculated powder diffractogram
Compound: Cs3Cd4Pt
Radiation: Cu Kα
Structure: DFT lattice parameters and positions (PBE)
No peak broadening, texture or thermal motion is included.

Cell and atoms:
```
data_Cs3Cd4Pt
_chemical_formula_sum 'Cs6 Cd8 Pt2'
_cell_length_a 6.630
_cell_length_b 7.638
_cell_length_c 11.636
_cell_angle_alpha 90.00
_cell_angle_beta 90.00
_cell_angle_gamma 90.00
_symmetry_space_group_name_H-M 'I m m 2'
_symmetry_Int_Tables_number 44
loop_
_symmetry_equiv_pos_as_xyz
'x,y,z'
'-x,-y,z'
'-x,y,z'
'x,-y,z'
'x+1/2,y+1/2,z+1/2'
'-x+1/2,-y+1/2,z+1/2'
'-x+1/2,y+1/2,z+1/2'
'x+1/2,-y+1/2,z+1/2'
loop_
_atom_site_label
_atom_site_type_symbol
_atom_site_fract_x
_atom_site_fract_y
_atom_site_fract_z
_atom_site_occupancy
Cs1 Cs 0.000 0.000 0.000 1
Cs2 Cs 0.000 0.242 0.355 1
Cd1 Cd 0.000 0.303 0.695 1
Cd2 Cd 0.235 0.500 0.097 1
Pt1 Pt 0.000 0.500 0.897 1
```

Most intense lines, 2θ from 10° to 90°, by intensity:
(hkl)	2theta	d (Å)	I/Imax
1 2 1	28.01	3.186	100
1 2 3	35.67	2.517	44
1 0 3	26.63	3.348	34
2 1 1	30.38	2.942	27
0 1 1	13.87	6.385	26
2 0 2	31.05	2.880	25
2 0 0	26.89	3.315	23
3 2 3	53.40	1.716	18
0 1 5	40.52	2.226	18
2 2 2	39.18	2.300	16